Record 1
# MgCrWS4
Theoretical powder XRD pattern, Cu Ka. Input: a crystal structure in Alexandria, relaxed with GGA-PBE.

Most intense lines, 2θ = 15–90°, by angle:
16.9 deg, I = 54
24.1 deg, I = 37
28.2 deg, I = 67
29.8 deg, I = 50
30.0 deg, I = 48
34.2 deg, I = 69
35.6 deg, I = 100
44.9 deg, I = 52
49.9 deg, I = 48
50.5 deg, I = 43

Structural model:
```
MgCrWS4
1.0
6.228 -3.700 0.000
6.228 3.700 0.000
-3.710 0.000 5.791
Mg Cr W S
2 2 2 8
direct
0.000 0.000 0.000 Mg
0.243 0.243 0.750 Mg
0.152 0.632 0.395 Cr
0.632 0.152 0.395 Cr
0.635 0.635 0.934 W
0.638 0.638 0.339 W
0.398 0.920 0.157 S
0.404 0.404 0.645 S
0.405 0.405 0.169 S
0.410 0.839 0.625 S
0.839 0.410 0.625 S
0.871 0.871 0.154 S
0.874 0.874 0.592 S
0.920 0.398 0.157 S
```

=====

Record 2
# KGdP4O12
Theoretical powder XRD pattern, Cu Ka. Input: a crystal structure in Alexandria, relaxed with GGA-PBE.

Most intense lines, 2θ = 15–90°, by angle:
15.2 deg, I = 100
15.9 deg, I = 72
16.1 deg, I = 50
16.6 deg, I = 64
26.5 deg, I = 97
26.8 deg, I = 75
27.2 deg, I = 51
28.4 deg, I = 76
28.9 deg, I = 66
33.5 deg, I = 45

Structural model:
```
KGdP4O12
1.0
7.372 0.000 0.000
0.000 8.504 0.000
-0.217 0.000 8.010
K Gd P O
2 2 8 24
direct
0.233 0.000 0.283 K
0.767 0.500 0.717 K
0.262 0.314 0.758 Gd
0.738 0.814 0.242 Gd
0.067 0.939 0.906 P
0.115 0.563 0.397 P
0.402 0.734 0.899 P
0.496 0.465 0.382 P
0.504 0.965 0.618 P
0.598 0.234 0.101 P
0.885 0.063 0.603 P
0.933 0.439 0.094 P
0.027 0.717 0.353 O
0.036 0.426 0.274 O
0.067 0.408 0.959 O
0.108 0.504 0.573 O
0.180 0.084 0.928 O
0.192 0.785 0.888 O
0.322 0.574 0.340 O
0.339 0.069 0.616 O
0.411 0.572 0.827 O
0.466 0.369 0.536 O
0.477 0.765 0.072 O
0.490 0.353 0.221 O
0.510 0.853 0.779 O
0.523 0.265 0.928 O
0.534 0.869 0.464 O
0.589 0.072 0.173 O
0.661 0.569 0.384 O
0.678 0.074 0.660 O
0.808 0.285 0.112 O
0.820 0.584 0.072 O
0.892 0.004 0.427 O
0.933 0.908 0.041 O
0.964 0.926 0.726 O
0.973 0.217 0.647 O
```

=====

Record 3
# SiHg2
Theoretical powder XRD pattern, Cu Ka. Input: a crystal structure in Alexandria, relaxed with GGA-PBE.

Most intense lines, 2θ = 15–90°, by angle:
25.1 deg, I = 46
26.4 deg, I = 64
30.7 deg, I = 100
34.4 deg, I = 64
38.1 deg, I = 37
41.1 deg, I = 28
44.7 deg, I = 41
45.8 deg, I = 51
53.9 deg, I = 17
75.0 deg, I = 17

Structural model:
```
SiHg2
1.0
14.197 -1.700 0.000
14.197 1.700 0.000
-0.190 0.000 2.913
Si Hg
2 4
direct
0.127 0.127 0.384 Si
0.873 0.873 0.616 Si
0.295 0.295 0.546 Hg
0.451 0.451 0.613 Hg
0.549 0.549 0.387 Hg
0.705 0.705 0.454 Hg
```

=====

Record 4
# Li7MgTl2
Theoretical powder XRD pattern, Cu Ka. Input: a crystal structure in Alexandria, relaxed with GGA-PBE.

Most intense lines, 2θ = 15–90°, by angle:
17.7 deg, I = 31
21.5 deg, I = 17
23.3 deg, I = 100
28.0 deg, I = 35
34.5 deg, I = 28
37.7 deg, I = 29
41.9 deg, I = 22
42.1 deg, I = 24
44.7 deg, I = 18
59.9 deg, I = 16

Structural model:
```
Li7MgTl2
1.0
4.778 0.000 0.000
-2.389 4.138 0.000
0.000 0.000 10.029
Li Mg Tl
7 1 2
direct
0.000 0.000 0.000 Li
0.000 0.000 0.234 Li
0.000 0.000 0.756 Li
0.333 0.667 0.422 Li
0.333 0.667 0.783 Li
0.667 0.333 0.277 Li
0.667 0.333 0.960 Li
0.667 0.333 0.615 Mg
0.000 0.000 0.495 Tl
0.333 0.667 0.096 Tl
```

=====

Record 5
# LaTb4Er3Se8
Theoretical powder XRD pattern, Cu Ka. Input: a crystal structure in Alexandria, relaxed with GGA-PBE.

Most intense lines, 2θ = 15–90°, by angle:
26.6 deg, I = 21
30.8 deg, I = 100
44.1 deg, I = 74
52.3 deg, I = 10
54.8 deg, I = 26
64.2 deg, I = 12
70.7 deg, I = 3
72.9 deg, I = 33
81.2 deg, I = 19
81.3 deg, I = 6

Structural model:
```
LaTb4Er3Se8
1.0
4.107 2.371 6.693
-4.107 2.371 6.693
0.000 -4.742 6.693
La Tb Er Se
1 4 3 8
direct
0.000 0.000 0.000 La
0.000 0.000 0.500 Tb
0.000 0.500 0.000 Tb
0.500 0.000 0.000 Tb
0.500 0.500 0.500 Tb
0.000 0.500 0.500 Er
0.500 0.000 0.500 Er
0.500 0.500 0.000 Er
0.252 0.252 0.252 Se
0.255 0.255 0.740 Se
0.255 0.740 0.255 Se
0.260 0.745 0.745 Se
0.740 0.255 0.255 Se
0.745 0.260 0.745 Se
0.745 0.745 0.260 Se
0.748 0.748 0.748 Se
```

=====

Record 6
# Er3TmPb4
Theoretical powder XRD pattern, Cu Ka. Input: a crystal structure in Alexandria, relaxed with GGA-PBE.

Most intense lines, 2θ = 15–90°, by angle:
32.3 deg, I = 25
32.5 deg, I = 100
40.1 deg, I = 28
52.4 deg, I = 26
57.8 deg, I = 20
58.0 deg, I = 10
68.0 deg, I = 37
81.7 deg, I = 8
86.4 deg, I = 13
86.6 deg, I = 3

Structural model:
```
Er3TmPb4
1.0
11.071 0.000 0.000
0.000 6.362 0.000
0.000 0.000 6.362
Er Tm Pb
6 2 8
direct
0.000 0.001 0.000 Er
0.250 0.251 0.750 Er
0.250 0.749 0.250 Er
0.500 0.999 0.500 Er
0.750 0.251 0.750 Er
0.750 0.749 0.250 Er
0.000 0.500 0.501 Tm
0.500 0.500 0.001 Tm
0.000 0.000 0.500 Pb
0.000 0.500 0.000 Pb
0.250 0.250 0.250 Pb
0.250 0.750 0.750 Pb
0.500 0.000 0.000 Pb
0.500 0.500 0.500 Pb
0.750 0.250 0.250 Pb
0.750 0.750 0.750 Pb
```

=====

Record 7
# Mg7TlPb2
Theoretical powder XRD pattern, Cu Ka. Input: a crystal structure in Alexandria, relaxed with GGA-PBE.

Most intense lines, 2θ = 15–90°, by angle:
21.9 deg, I = 100
24.5 deg, I = 13
25.7 deg, I = 23
35.9 deg, I = 53
36.7 deg, I = 25
41.7 deg, I = 19
43.2 deg, I = 36
44.7 deg, I = 11
56.7 deg, I = 16
65.6 deg, I = 19

Structural model:
```
Mg7TlPb2
1.0
-2.447 2.447 10.883
2.447 -2.447 10.883
2.447 2.447 -10.883
Mg Tl Pb
7 1 2
direct
0.000 0.000 0.000 Mg
0.088 0.588 0.500 Mg
0.250 0.750 0.500 Mg
0.412 0.912 0.500 Mg
0.588 0.088 0.500 Mg
0.750 0.250 0.500 Mg
0.912 0.412 0.500 Mg
0.500 0.500 0.000 Tl
0.170 0.170 0.000 Pb
0.830 0.830 0.000 Pb
```

=====

Record 8
# CsMnBr2Cl
Theoretical powder XRD pattern, Cu Ka. Input: a crystal structure in Alexandria, relaxed with GGA-PBE.

Most intense lines, 2θ = 15–90°, by angle:
22.4 deg, I = 49
28.2 deg, I = 15
28.4 deg, I = 100
29.0 deg, I = 42
34.7 deg, I = 51
41.7 deg, I = 29
45.8 deg, I = 37
49.8 deg, I = 14
51.0 deg, I = 26
58.3 deg, I = 15

Structural model:
```
CsMnBr2Cl
1.0
-3.660 3.660 6.166
3.660 -3.660 6.166
3.660 3.660 -6.166
Cs Mn Br Cl
2 2 4 2
direct
0.000 0.500 0.500 Cs
0.500 0.000 0.500 Cs
0.289 0.289 0.000 Mn
0.789 0.789 0.000 Mn
0.029 0.529 0.074 Br
0.455 0.955 0.926 Br
0.529 0.455 0.500 Br
0.955 0.029 0.500 Br
0.479 0.479 0.000 Cl
0.979 0.979 0.000 Cl
```

=====

Record 9
# BeAlAg
Theoretical powder XRD pattern, Cu Ka. Input: a crystal structure in Alexandria, relaxed with GGA-PBE.

Most intense lines, 2θ = 15–90°, by angle:
17.7 deg, I = 18
20.0 deg, I = 44
33.3 deg, I = 77
35.9 deg, I = 100
41.8 deg, I = 18
42.2 deg, I = 45
56.5 deg, I = 33
64.5 deg, I = 17
69.9 deg, I = 16
74.5 deg, I = 16

Structural model:
```
BeAlAg
1.0
5.782 0.000 0.000
-2.891 5.008 0.000
0.000 0.000 9.583
Be Al Ag
6 6 6
direct
0.203 0.601 0.167 Be
0.399 0.601 0.833 Be
0.399 0.797 0.500 Be
0.601 0.203 0.500 Be
0.601 0.399 0.833 Be
0.797 0.399 0.167 Be
0.000 0.500 0.384 Al
0.000 0.500 0.949 Al
0.500 0.000 0.283 Al
0.500 0.000 0.717 Al
0.500 0.500 0.051 Al
0.500 0.500 0.616 Al
0.000 0.000 0.167 Ag
0.000 0.000 0.500 Ag
0.000 0.000 0.833 Ag
0.000 0.500 0.667 Ag
0.500 0.000 0.000 Ag
0.500 0.500 0.333 Ag
```